Computed XRD peak list
Compound: MgCo2OsO6
Radiation: a wavelength of 1.5418 Å
Structure: a GGA+U-relaxed structure

Structure:
```
data_MgCo2OsO6
_space_group_name_H-M_alt 'R 3'
_space_group_IT_number 146
_space_group_name_Hall 'R 3'
_cell_length_a 5.0854
_cell_length_b 5.0854
_cell_length_c 14.0124
_cell_angle_alpha 90.00
_cell_angle_beta 90.00
_cell_angle_gamma 120.00
loop_
_atom_site_label
_atom_site_type_symbol
_atom_site_fract_x
_atom_site_fract_y
_atom_site_fract_z
_atom_site_occupancy
Mg1 Mg 0.0000 0.0000 0.0000 1
Co1 Co 0.0000 0.0000 0.1966 1
Co2 Co 0.0000 0.0000 0.7180 1
Os1 Os 0.0000 0.0000 0.5152 1
O1 O 0.0158 0.3093 0.1106 1
O2 O 0.0321 0.6843 0.2672 1
```

Most intense lines, 10 to 80 degrees two-theta, low angle first:
(0 0 3), 19.0°, intensity 61.4; (1 0 1), 21.1°, intensity 100.0; (0 1 2), 23.9°, intensity 73.8; (1 0 4), 32.7°, intensity 90.9; (1 1 0), 35.3°, intensity 98.7; (1 1 3), 40.4°, intensity 57.5; (0 2 4), 48.9°, intensity 34.6; (1 1 6), 53.3°, intensity 76.3